[1]
Diffraction record for Ac2Tc2Ge2N. The X-ray powder pattern is theoretical, not measured: it uses a structure optimized by DFT (GGA-PBE) and Cu Kα, 1.54184 Å.

Structure:
a = 11.770 Å, b = 4.291 Å, c = 7.489 Å
α = 90.00°, β = 127.75°, γ = 90.00°
Space group C2/m (No. 12)
Inequivalent atoms, fractional coordinates:
Ac (0.060, 0.000, 0.299) (multiplicity 4)
Tc (0.190, 0.500, 0.084) (multiplicity 4)
Ge (0.177, 0.500, 0.733) (multiplicity 4)
N (0.000, 0.500, 0.000) (multiplicity 2)

Most intense lines, 10° ≤ 2θ ≤ 90°, in order of rising 2θ:
| 2theta | I (rel.) | hkl |
| --- | --- | --- |
| 22.8 | 43 | 1 1 0 |
| 30.5 | 51 | 1 1 1 |
| 31.0 | 69 | 3 1 -1 |
| 31.6 | 36 | 4 0 -1 |
| 33.0 | 100 | 1 1 -2 |
| 33.4 | 36 | 3 1 -2 |
| 35.7 | 57 | 3 1 0 |
| 42.1 | 46 | 0 2 0 |



[2]
Diffraction record for La2Dy9Er. The X-ray powder pattern is theoretical, not measured: it uses a structure optimized by DFT (GGA-PBE) and Cu Kα, 1.54184 Å.

Structure:
a = 11.3414 Å, b = 11.3414 Å, c = 3.4768 Å
α = 90.00°, β = 90.00°, γ = 120.00°
Space group P6/mmm (No. 191)
Inequivalent atoms, fractional coordinates:
La (0.3333, 0.6667, 0.0000) (multiplicity 2)
Dy (0.0000, 0.5000, 0.0000) (multiplicity 3)
Dy (0.1709, 0.3418, 0.5000) (multiplicity 6)
Er (0.0000, 0.0000, 0.0000) (multiplicity 1)

Most intense lines, 10° ≤ 2θ ≤ 90°, in order of rising 2θ:
| 2theta | I (rel.) | hkl |
| --- | --- | --- |
| 30.2 | 15 | 1 1 1 |
| 31.5 | 100 | 2 2 0 |
| 37.7 | 8 | 3 0 1 |
| 45.2 | 13 | 4 0 1 |
| 56.2 | 26 | 6 0 0 |
| 62.7 | 18 | 2 2 2 |
| 65.9 | 8 | 4 4 0 |
| 80.6 | 9 | 6 0 2 |